Computed powder X-ray diffraction pattern of CdO for Cu Kα (weighted mean of Kα1 and Kα2), from a structure optimized by DFT (PBE).
No peak broadening, texture or thermal motion is included.

Structural model:
a = 4.7837 Å, b = 4.7837 Å, c = 4.7837 Å
α = 90.00°, β = 90.00°, γ = 90.00°
Space group Fm-3m (No. 225)
Inequivalent atoms, fractional coordinates:
Cd  0.0000  0.0000  0.0000 (multiplicity 4)
O  0.0000  0.0000  0.5000 (multiplicity 4)

Principal peaks in the range 5° ≤ 2θ ≤ 70°, low angle first:
| (hkl) | two_theta | d_spacing | I (rel.) |
| --- | --- | --- | --- |
| 1 1 1 | 32.42 | 2.762 | 1000 |
| 2 0 0 | 37.61 | 2.392 | 896 |
| 2 2 0 | 54.24 | 1.691 | 576 |
| 3 1 1 | 64.62 | 1.442 | 411 |
| 2 2 2 | 67.87 | 1.381 | 186 |